Diffraction record for NiHg4F10. The powder diffraction line list is simulated, not measured: it uses a cell relaxed with GGA+U and Cu Ka.
No peak broadening, texture or thermal motion is included.

Largest 12 diffraction maxima, low angle first, 2θ = 10–90°:
26.77 deg, I 100
28.42 deg, I 39
29.43 deg, I 39
32.20 deg, I 36
32.47 deg, I 19
43.32 deg, I 21
45.71 deg, I 29
47.05 deg, I 33
48.91 deg, I 11
52.62 deg, I 14
53.23 deg, I 15
54.55 deg, I 14

Atomic structure:
Unit cell a=3.8820 b=3.8820 c=15.9958 alpha=99.25 beta=99.25 gamma=65.11
Element x y z (fractional)
Ni (0.0000, 0.0000, 0.0000)
Hg (0.2031, 0.2031, 0.6054)
Hg (0.3887, 0.3887, 0.1852)
Hg (0.6113, 0.6113, 0.8148)
Hg (0.7969, 0.7969, 0.3946)
F (0.0278, 0.0278, 0.1263)
F (0.1501, 0.1501, 0.4471)
F (0.2541, 0.2541, 0.7632)
F (0.3272, 0.3272, 0.0349)
F (0.4435, 0.4435, 0.3402)
F (0.5565, 0.5565, 0.6598)
F (0.6728, 0.6728, 0.9651)
F (0.7459, 0.7459, 0.2368)
F (0.8499, 0.8499, 0.5529)
F (0.9722, 0.9722, 0.8737)